Structure and theoretical powder X-ray diffraction pattern of ReHCSN2Cl3O (the GGA-PBE geometry in the Materials Project; CuKα).
Kinematic intensities with the Lorentz-polarization factor, no thermal factor.

Structure:
a b c (Å): 11.364 7.844 11.738
angles (deg): 90.00 90.00 90.00
Space group Pca2_1 (No. 29)
Symmetry-distinct sites (fractional):
Re: 0.154 0.198 0.000 x4
H: 0.219 0.234 0.129 x4
C: 0.030 0.656 0.723 x4
S: 0.080 0.425 0.158 x4
N: 0.093 0.687 0.823 x4
N: 0.128 0.763 0.731 x4
Cl: 0.076 0.979 0.108 x4
Cl: 0.217 0.016 0.417 x4
Cl: 0.224 0.424 0.454 x4
O: 0.029 0.254 0.926 x4

Top 12 peaks for 2θ from 15° to 90°, sorted by position:
- 2θ 15.10, I 67, hkl 0 0 2
- 2θ 15.66, I 91, hkl 1 1 1
- 2θ 17.34, I 94, hkl 2 0 1
- 2θ 20.45, I 100, hkl 1 1 2
- 2θ 21.77, I 28, hkl 2 0 2
- 2θ 27.23, I 34, hkl 3 1 1
- 2θ 28.68, I 31, hkl 2 2 1
- 2θ 33.55, I 19, hkl 1 1 4
- 2θ 34.90, I 23, hkl 3 1 3
- 2θ 36.07, I 27, hkl 2 2 3
- 2θ 39.17, I 18, hkl 4 0 3
- 2θ 47.00, I 19, hkl 1 4 0